Record 1
This entry pairs a crystal structure of SrNi2N2 with its calculated X-ray powder pattern. Radiation: a wavelength of 1.5418 Å. Structure: a PBE-relaxed structure.
Kinematic intensities with the Lorentz-polarization factor, no thermal factor.

Main lines, in order of falling intensity (2θ from 10° to 90°):
- 2θ 33.73, I 100
- 2θ 42.73, I 42
- 2θ 53.69, I 33
- 2θ 72.50, I 15
- 2θ 64.92, I 14
- 2θ 55.07, I 12
- 2θ 89.08, I 12
- 2θ 69.76, I 12

Cell lengths 3.4145, 3.4145, 6.0582 Å; angles 90.00, 90.00, 120.00 degrees
Space group P-3m1 (No. 164)
One atom of each set of equivalent atoms:
Sr 0.0000 0.0000 0.0000 (multiplicity 1)
Ni 0.3333 0.6667 0.3820 (multiplicity 2)
N 0.3333 0.6667 0.7039 (multiplicity 2)

Record 2
This entry pairs a crystal structure of TmAlGa with its calculated X-ray powder pattern. Radiation: a wavelength of 1.5418 Å. Structure: a PBE-relaxed structure.
Kinematic intensities with the Lorentz-polarization factor, no thermal factor.

Main lines, in order of falling intensity (2θ from 10° to 90°):
- 2θ 34.98, I 100
- 2θ 40.29, I 50
- 2θ 22.94, I 45
- 2θ 54.40, I 28
- 2θ 69.82, I 27
- 2θ 69.10, I 20
- 2θ 73.24, I 8
- 2θ 53.57, I 7

Cell lengths 4.4768, 4.4768, 3.4217 Å; angles 90.00, 90.00, 120.00 degrees
Space group P-6m2 (No. 187)
One atom of each set of equivalent atoms:
Tm 0.0000 0.0000 0.0000 (multiplicity 1)
Al 0.3333 0.6667 0.5000 (multiplicity 1)
Ga 0.6667 0.3333 0.5000 (multiplicity 1)